Diffraction record for Ba8MgPt2. The powder diffractogram is computed, not measured: it uses a crystal structure in Alexandria, relaxed with PBE and a wavelength of 1.5418 Å.
Lines closer than 0.1° are merged.

Structure:
a = 6.523 Å, b = 10.630 Å, c = 10.635 Å
α = 60.02°, β = 89.99°, γ = 90.00°
Space group P-1 (No. 2)
One atom of each set of equivalent atoms:
Ba  0.242  0.167  0.167
Ba  0.258  0.159  0.669
Ba  0.258  0.669  0.672
Ba  0.258  0.672  0.159
Mg  0.000  0.500  0.500
Pt  0.255  0.833  0.833

Most intense lines, 15° ≤ 2θ ≤ 90°, by angle:
(0 2 1), 2θ 16.66, intensity 70
(0 2 2), 2θ 19.28, intensity 60
(1 2 2), 2θ 23.65, intensity 53
(2 0 0), 2θ 27.34, intensity 35
(0 3 3), 2θ 29.07, intensity 30
(0 4 2), 2θ 33.70, intensity 100
(2 4 2), 2θ 43.94, intensity 58
(0 5 1), 2θ 45.11, intensity 16
(0 0 6), 2θ 60.26, intensity 21
(4 4 2), 2θ 67.40, intensity 33

Diffraction record for BaTbSiN3. The powder diffractogram is computed, not measured: it uses a crystal structure in Alexandria, relaxed with PBE and a wavelength of 1.5418 Å.
Lines closer than 0.1° are merged.

Structure:
a = 12.777 Å, b = 3.818 Å, c = 7.769 Å
α = 90.00°, β = 106.61°, γ = 90.00°
Space group C2/m (No. 12)
One atom of each set of equivalent atoms:
Ba  0.144  0.000  0.072
Tb  0.152  0.000  0.572
Si  0.004  0.500  0.288
N  0.004  0.000  0.301
N  0.142  0.500  0.781
N  0.152  0.500  0.356

Most intense lines, 15° ≤ 2θ ≤ 90°, by angle:
(1 1 0), 2θ 24.42, intensity 39
(4 0 0), 2θ 29.17, intensity 31
(2 0 2), 2θ 31.50, intensity 41
(3 1 0), 2θ 32.10, intensity 67
(4 0 -2), 2θ 32.11, intensity 40
(1 1 -2), 2θ 32.90, intensity 100
(3 1 2), 2θ 44.23, intensity 25
(5 1 -2), 2θ 44.85, intensity 22
(0 2 0), 2θ 47.64, intensity 20
(2 2 2), 2θ 58.24, intensity 32

Diffraction record for CsLi2IBr2. The powder diffractogram is computed, not measured: it uses a crystal structure in Alexandria, relaxed with PBE and a wavelength of 1.5418 Å.
Lines closer than 0.1° are merged.

Structure:
a = 8.131 Å, b = 6.314 Å, c = 8.835 Å
α = 90.00°, β = 104.21°, γ = 90.00°
Space group P2_1/m (No. 11)
One atom of each set of equivalent atoms:
Cs  0.172  0.250  0.346
Li  0.352  0.001  0.820
I  0.352  0.750  0.085
Br  0.110  0.250  0.755
Br  0.360  0.750  0.608

Most intense lines, 15° ≤ 2θ ≤ 90°, by angle:
(0 1 2), 2θ 25.13, intensity 60
(1 1 -2), 2θ 25.37, intensity 26
(2 1 0), 2θ 26.68, intensity 100
(0 2 0), 2θ 28.27, intensity 37
(1 1 3), 2θ 38.80, intensity 13
(2 2 -2), 2θ 39.29, intensity 17
(2 2 2), 2θ 45.19, intensity 11
(0 3 2), 2θ 48.19, intensity 14
(2 3 0), 2θ 49.07, intensity 14
(3 1 -4), 2θ 50.02, intensity 12

Diffraction record for NaInSnHg4. The powder diffractogram is computed, not measured: it uses a crystal structure in Alexandria, relaxed with PBE and a wavelength of 1.5418 Å.
Lines closer than 0.1° are merged.

Structure:
a = 6.259 Å, b = 21.299 Å, c = 6.191 Å
α = 90.00°, β = 90.00°, γ = 90.00°
Space group Cmcm (No. 63)
One atom of each set of equivalent atoms:
Na  0.000  0.116  0.250
In  0.000  0.362  0.250
Sn  0.000  0.361  0.750
Hg  0.000  0.052  0.750
Hg  0.000  0.499  0.750
Hg  0.250  0.250  0.000

Most intense lines, 15° ≤ 2θ ≤ 90°, by angle:
(0 4 0), 2θ 16.64, intensity 66
(2 2 0), 2θ 29.75, intensity 100
(0 2 2), 2θ 30.07, intensity 97
(1 7 0), 2θ 32.73, intensity 46
(0 8 0), 2θ 33.66, intensity 28
(2 6 0), 2θ 38.34, intensity 40
(0 6 2), 2θ 38.59, intensity 39
(2 0 2), 2θ 41.01, intensity 93
(1 7 2), 2θ 44.18, intensity 41
(2 8 2), 2θ 54.06, intensity 30